No. 1
Calculated PXRD pattern
Compound: Al4InAgSe8
Radiation: Cu Kα, 1.54184 Å
Structure: a crystal structure in Alexandria, relaxed with PBE
Lines closer than 0.1° are merged.

Structural model:
```
Al4InAgSe8
1.0
4.124 -5.439 0.000
4.124 5.439 0.000
-0.064 0.000 8.256
Al In Ag Se
4 1 1 8
direct
0.000 0.000 0.000 Al
0.004 0.477 0.244 Al
0.523 0.996 0.756 Al
0.529 0.471 0.500 Al
0.009 0.991 0.500 In
0.520 0.480 0.000 Ag
0.115 0.362 0.997 Se
0.145 0.852 0.233 Se
0.148 0.855 0.767 Se
0.153 0.393 0.501 Se
0.607 0.847 0.499 Se
0.638 0.885 0.003 Se
0.647 0.335 0.266 Se
0.665 0.353 0.734 Se
```

Most intense lines, 2θ = 5–70°, low angle first:
2θ (°)  intensity
21.54  9.9
27.13  100.0
28.99  9.6
43.88  23.5
45.51  20.3
45.69  20.1
52.19  7.3
52.21  7.2
52.51  14.4
55.35  11.2



No. 2
Calculated PXRD pattern
Compound: Al2InAgSe4
Radiation: Cu Kα, 1.54184 Å
Structure: a crystal structure in Alexandria, relaxed with PBE
Lines closer than 0.1° are merged.

Structural model:
```
Al2InAgSe4
1.0
0.000 3.965 7.102
3.964 0.000 7.102
3.964 3.965 0.000
Al In Ag Se
2 1 1 4
direct
0.000 0.000 0.500 Al
0.500 0.500 0.000 Al
0.250 0.250 0.750 In
0.750 0.750 0.250 Ag
0.130 0.670 0.330 Se
0.370 0.830 0.630 Se
0.670 0.130 0.870 Se
0.830 0.370 0.170 Se
```

Most intense lines, 2θ = 5–70°, low angle first:
2θ (°)  intensity
22.43  13.1
25.73  100.0
33.89  18.1
34.39  20.1
38.01  9.7
41.02  47.5
44.58  15.3
45.77  20.5
53.25  24.6
60.96  8.7



No. 3
Calculated PXRD pattern
Compound: Al2InAgTe4
Radiation: Cu Kα, 1.54184 Å
Structure: a crystal structure in Alexandria, relaxed with PBE
Lines closer than 0.1° are merged.

Structural model:
```
Al2InAgTe4
1.0
0.000 4.339 7.428
4.339 0.000 7.428
4.339 4.339 0.000
Al In Ag Te
2 1 1 4
direct
0.000 0.000 0.500 Al
0.500 0.500 0.000 Al
0.250 0.250 0.750 In
0.750 0.750 0.250 Ag
0.125 0.664 0.875 Te
0.376 0.835 0.165 Te
0.664 0.125 0.336 Te
0.835 0.376 0.624 Te
```

Most intense lines, 2θ = 5–70°, low angle first:
2θ (°)  intensity
20.47  7.7
23.75  100.0
31.55  13.6
31.71  12.8
38.04  47.5
41.63  20.6
42.01  15.3
48.49  26.3
56.39  7.1
60.63  8.8



No. 4
Calculated PXRD pattern
Compound: KAl9Ag4
Radiation: Cu Kα, 1.54184 Å
Structure: a crystal structure in Alexandria, relaxed with PBE
Lines closer than 0.1° are merged.

Structural model:
```
KAl9Ag4
1.0
-4.499 4.499 6.635
4.499 -4.499 6.635
4.499 4.499 -6.635
K Al Ag
2 18 8
direct
0.250 0.250 0.000 K
0.750 0.750 0.000 K
0.000 0.500 0.500 Al
0.055 0.555 0.255 Al
0.067 0.797 0.864 Al
0.200 0.945 0.500 Al
0.203 0.067 0.270 Al
0.297 0.567 0.864 Al
0.300 0.800 0.745 Al
0.433 0.297 0.730 Al
0.445 0.700 0.500 Al
0.500 0.000 0.500 Al
0.555 0.300 0.500 Al
0.567 0.703 0.270 Al
0.700 0.200 0.255 Al
0.703 0.433 0.136 Al
0.797 0.933 0.730 Al
0.800 0.055 0.500 Al
0.933 0.203 0.136 Al
0.945 0.445 0.745 Al
0.049 0.201 0.500 Ag
0.201 0.701 0.152 Ag
0.299 0.451 0.500 Ag
0.451 0.951 0.152 Ag
0.549 0.049 0.848 Ag
0.701 0.549 0.500 Ag
0.799 0.299 0.848 Ag
0.951 0.799 0.500 Ag
```

Most intense lines, 2θ = 5–70°, low angle first:
2θ (°)  intensity
19.73  48.2
23.10  100.0
30.02  61.2
31.44  45.1
33.56  67.4
40.73  79.1
41.83  40.9
41.96  81.7
42.63  42.7
51.12  37.6